Theoretical X-ray powder pattern of TmMnBi2O6 for Cu Ka, from a DFT-relaxed cell (PBE+U, Alexandria).
Neutral-atom scattering factors, no anomalous dispersion.

Most intense lines, 2θ = 15–90°, low angle first:
d/Å	Rel. int.
4.435	23
4.042	32
3.008	100
2.973	55
2.959	53
2.912	47
2.807	46
2.217	25
2.024	20
2.018	20
1.956	19
1.657	19

Structure:
```
TmMnBi2O6
1.0
5.6136 0.0000 0.0000
-0.0180 5.8248 0.0000
-2.7794 -2.8219 4.4348
Tm Mn Bi O
1 1 2 6
Direct
0.0000 0.0000 0.0000 Tm
0.5010 0.5228 0.0234 Mn
0.2012 0.6489 0.4278 Bi
0.7298 0.1566 0.4372 Bi
0.1554 0.3010 0.5086 O
0.2822 0.7733 0.1310 O
0.3632 0.3136 0.1413 O
0.6588 0.8109 0.9945 O
0.7939 0.3419 0.9999 O
0.8593 0.8261 0.5326 O
```

***

Theoretical X-ray powder pattern of LiV2O3F for Cu Ka, from a DFT-relaxed cell (PBE+U, Alexandria).
Neutral-atom scattering factors, no anomalous dispersion.

Most intense lines, 2θ = 15–90°, low angle first:
d/Å	Rel. int.
4.961	100
3.632	31
2.793	29
2.769	11
2.575	48
2.142	89
2.134	42
1.846	10
1.653	14
1.524	13
1.512	51
1.505	13

Structure:
```
LiV2O3F
1.0
-3.0488 6.0201 4.2675
3.0488 -6.0201 4.2675
3.0488 6.0201 -4.2675
Li V O F
4 8 12 4
Direct
0.1232 0.0000 0.1232 Li
0.1502 0.7781 0.3721 Li
0.4061 0.7781 0.6279 Li
0.8768 0.0000 0.8768 Li
0.1575 0.4055 0.7519 V
0.3764 0.3764 0.0000 V
0.5192 0.4012 0.6311 V
0.5192 0.8881 0.1180 V
0.6536 0.4055 0.2481 V
0.7701 0.4012 0.8820 V
0.7701 0.8881 0.3689 V
0.9071 0.4071 0.5000 V
0.0050 0.1597 0.4067 O
0.0050 0.5982 0.8453 O
0.2854 0.1860 0.6492 O
0.2854 0.6362 0.0994 O
0.4132 0.6461 0.7671 O
0.5368 0.1860 0.9006 O
0.5368 0.6362 0.3508 O
0.6267 0.6267 0.0000 O
0.6534 0.1534 0.5000 O
0.7530 0.1597 0.1547 O
0.7530 0.5982 0.5933 O
0.8790 0.6461 0.2329 O
0.1442 0.1442 0.0000 F
0.1455 0.6455 0.5000 F
0.4031 0.1483 0.2548 F
0.8935 0.1483 0.7452 F
```